Entry 1:
Simulated powder X-ray diffraction pattern
Compound: LuNiGe3
Radiation: Cu Kα, 1.54184 Å
Structure: a structure optimized by DFT (PBE)
No peak broadening, texture or thermal motion is included.

Structural model:
Cell lengths 10.9582, 10.9582, 4.0461 Å; angles 90.00, 90.00, 158.53 degrees
Fractional coordinates of all 10 atoms:
Lu (0.1690, 0.8310, 0.0000)
Lu (0.8310, 0.1690, 0.0000)
Ni (0.3884, 0.6116, 0.5000)
Ni (0.6116, 0.3884, 0.5000)
Ge (0.0577, 0.9423, 0.5000)
Ge (0.2829, 0.7171, 0.5000)
Ge (0.4426, 0.5574, 0.0000)
Ge (0.5574, 0.4426, 0.0000)
Ge (0.7171, 0.2829, 0.5000)
Ge (0.9423, 0.0577, 0.5000)

Largest 10 diffraction maxima, in order of rising 2θ, 2θ from 10° to 90°:
two_theta, d [Å], I_rel
33.3, 2.687, 36
33.6, 2.668, 100
37.6, 2.391, 13
43.9, 2.064, 22
44.4, 2.042, 24
44.8, 2.023, 23
56.6, 1.626, 16
56.9, 1.618, 10
64.5, 1.445, 14
64.9, 1.437, 17

=====

Entry 2:
Simulated powder X-ray diffraction pattern
Compound: Cu3TePbO8
Radiation: Cu Kα, 1.54184 Å
Structure: a structure optimized by DFT (PBE)
No peak broadening, texture or thermal motion is included.

Structural model:
Cell lengths 13.1643, 12.5597, 5.6903 Å; angles 83.24, 71.34, 25.42 degrees
Fractional coordinates of all 26 atoms:
Cu (0.0000, 0.0000, 0.0000)
Cu (0.1915, 0.1915, 0.8085)
Cu (0.2500, 0.2500, 0.2500)
Cu (0.4415, 0.4415, 0.0585)
Cu (0.7493, 0.7493, 0.2507)
Cu (0.9993, 0.9993, 0.5007)
Te (0.4420, 0.4420, 0.5580)
Te (0.6920, 0.6920, 0.8080)
Pb (0.5907, 0.5907, 0.4093)
Pb (0.8407, 0.8407, 0.6593)
O (0.0002, 0.0967, 0.2309)
O (0.9996, 0.4911, 0.7534)
O (0.0191, 0.5779, 0.2498)
O (0.0336, 0.8598, 0.7580)
O (0.0967, 0.0002, 0.6721)
O (0.3716, 0.4068, 0.3698)
O (0.3982, 0.8802, 0.8432)
O (0.4068, 0.3716, 0.8518)
O (0.4911, 0.9996, 0.7559)
O (0.4920, 0.9014, 0.2164)
O (0.4941, 0.4966, 0.7589)
O (0.4966, 0.4941, 0.2504)
O (0.5779, 0.0191, 0.1533)
O (0.8598, 0.0336, 0.3486)
O (0.8802, 0.3982, 0.8784)
O (0.9014, 0.4920, 0.3902)

Largest 10 diffraction maxima, in order of rising 2θ, 2θ from 10° to 90°:
two_theta, d [Å], I_rel
18.1, 4.890, 69
19.5, 4.544, 58
25.5, 3.492, 100
28.5, 3.131, 38
31.3, 2.861, 69
31.7, 2.824, 31
36.0, 2.495, 89
36.5, 2.458, 42
36.7, 2.447, 30
40.9, 2.205, 56